Diffraction record for SrPuVO6. The powder XRD pattern is calculated, not measured: it uses a DFT-relaxed cell (GGA+U, Alexandria) and Cu Kα, 1.54184 Å.
Peak positions follow from Bragg's law for the DFT cell and can differ from measured ones.

Principal peaks in the range 5° ≤ 2θ ≤ 70°, in order of rising 2θ:
5.335 Å, 16.6 deg, I 420; 4.282 Å, 20.7 deg, I 653; 3.516 Å, 25.3 deg, I 1000; 2.831 Å, 31.6 deg, I 263; 2.699 Å, 33.2 deg, I 478; 2.408 Å, 37.3 deg, I 257; 2.141 Å, 42.2 deg, I 230; 1.897 Å, 47.9 deg, I 542; 1.677 Å, 54.7 deg, I 234; 1.558 Å, 59.3 deg, I 163

Crystal structure
abc: 5.3982 5.3982 10.6700
angles: 90.00 90.00 120.00
Space group P-31c (No. 163)
One atom of each set of equivalent atoms:
Sr (0.0000, 0.0000, 0.0000)
Pu (0.3333, 0.6667, 0.2500)
V (0.3333, 0.6667, 0.7500)
O (0.0164, 0.3816, 0.6485)